Structure and calculated powder X-ray diffraction pattern of BaV2H2Se4O14 (a cell relaxed with PBE+U; Cu Kα, 1.54184 Å).

Structural model:
```
BaV2H2Se4O14
1.0
9.8932 0.0000 0.0000
0.0000 7.2181 0.0000
-4.4922 0.0000 8.9694
Ba V H Se O
2 4 4 8 28
direct
0.0000 0.0000 0.0000
0.0000 0.5000 0.5000
0.2062 0.0282 0.4474
0.2062 0.4718 0.9474
0.7938 0.5282 0.0526
0.7938 0.9718 0.5526
0.3715 0.0803 0.0571
0.3715 0.4197 0.5571
0.6285 0.5803 0.4429
0.6285 0.9197 0.9429
0.1853 0.0101 0.7539
0.1853 0.4899 0.2539
0.4434 0.0754 0.3122
0.4434 0.4246 0.8122
0.5566 0.5754 0.1878
0.5566 0.9246 0.6878
0.8147 0.5101 0.7461
0.8147 0.9899 0.2461
0.0041 0.5606 0.2195
0.0041 0.9394 0.7195
0.1537 0.1561 0.6039
0.1537 0.3439 0.1039
0.1963 0.6858 0.0024
0.1963 0.8142 0.5024
0.2210 0.1610 0.9005
0.2210 0.3390 0.4005
0.2711 0.5203 0.7842
0.2711 0.9797 0.2842
0.4286 0.0910 0.5824
0.4286 0.4091 0.0824
0.4444 0.0024 0.1431
0.4444 0.4976 0.6431
0.5556 0.5024 0.3569
0.5556 0.9976 0.8569
0.5714 0.5910 0.9176
0.5714 0.9090 0.4176
0.7289 0.0203 0.7158
0.7289 0.4797 0.2158
0.7790 0.6610 0.5995
0.7790 0.8390 0.0995
0.8037 0.1858 0.4976
0.8037 0.3142 0.9976
0.8463 0.6561 0.8961
0.8463 0.8439 0.3961
0.9959 0.0606 0.2805
0.9959 0.4394 0.7805
```

Top 10 peaks for 2θ from 10° to 90°, by angle:
15.8°, d = 5.600 Å, I = 18, hkl 1 1 0
21.0°, d = 4.237 Å, I = 40, hkl 1 1 1
24.7°, d = 3.609 Å, I = 100, hkl 0 2 0
26.0°, d = 3.428 Å, I = 23, hkl 1 0 2
29.0°, d = 3.081 Å, I = 69, hkl 2 1 1
30.0°, d = 2.977 Å, I = 61, hkl 3 1 -1
30.2°, d = 2.955 Å, I = 98, hkl 2 1 -3
37.5°, d = 2.399 Å, I = 17, hkl 3 2 -2
46.6°, d = 1.948 Å, I = 17, hkl 1 3 -3
51.7°, d = 1.769 Å, I = 18, hkl 5 0 0